Theoretical X-ray diffraction stick pattern
Compound: V2NiTe2O10
Radiation: Cu Kα X-rays
Structure: a PBE+U-relaxed structure

Main lines, in order of falling intensity (5 to 70 degrees two-theta):
d_spacing, 2θ/deg, Rel. int., hkl
3.089, 28.90, 100, 1 0 -1
3.178, 28.07, 88, 1 -1 1
2.765, 32.38, 67, 0 1 -2
4.351, 20.41, 62, 1 0 1
2.736, 32.74, 57, 0 2 1
2.967, 30.12, 57, 1 1 2
4.098, 21.69, 51, 1 1 1
2.920, 30.61, 47, 1 2 0
3.073, 29.06, 38, 0 2 0
1.640, 56.09, 27, 1 1 -3

Structural model:
abc: 4.8701 6.4229 6.5897
angles: 84.76 68.94 73.27
Space group P-1 (No. 2)
Inequivalent atoms, fractional coordinates:
V 0.1488 0.1121 0.1255
Ni 0.5000 0.0000 0.5000
Te 0.2198 0.5955 0.2810
O 0.0957 0.8246 0.0745
O 0.1523 0.8464 0.6372
O 0.2069 0.3347 0.5372
O 0.2250 0.3850 0.0869
O 0.4621 0.9699 0.2047